Starting from the PBE geometry in Alexandria, the powder X-ray diffraction pattern of LiTlH2Ir was simulated for copper Kα.
Peak positions follow from Bragg's law for the DFT cell and can differ from measured ones.

Principal peaks in the range 5 to 70 degrees two-theta, sorted by position:
(1 0 0), d 3.689, rel. 100; (0 0 2), d 2.610, rel. 64; (1 0 2), d 2.133, rel. 46; (2 0 0), d 1.846, rel. 47; (2 1 0), d 1.650, rel. 21; (2 0 2), d 1.507, rel. 17; (2 1 2), d 1.395, rel. 24

Cell and atoms:
a = 3.6886 Å, b = 3.6886 Å, c = 5.2296 Å
α = 90.00°, β = 90.00°, γ = 90.00°
Element x y z (fractional)
1 Li 0.0000 0.0000 0.0000
2 Tl 0.5000 0.5000 0.0000
3 H 0.0000 0.5000 0.5000
4 H 0.5000 0.0000 0.5000
5 Ir 0.5000 0.5000 0.5000